Entry 1:
This entry pairs a crystal structure of LiEr4Ru2 with its calculated powder diffraction line list. Radiation: CuKα. Structure: a cell relaxed with GGA-PBE.
Lines closer than 0.1° are merged.

Principal peaks in the range 10 to 80 degrees two-theta, in order of falling intensity:
| index | d (Å) | Position (°2θ) | I_rel |
| --- | --- | --- | --- |
| 1 1 0 | 2.417 | 37.20 | 100 |
| 0 1 8 | 2.381 | 37.79 | 93 |
| 1 0 4 | 3.392 | 26.27 | 64 |
| 1 2 8 | 1.388 | 67.47 | 34 |
| 2 0 8 | 1.696 | 54.07 | 33 |
| 0 1 2 | 3.936 | 22.59 | 19 |
| 3 0 0 | 1.395 | 67.08 | 18 |
| 0 2 4 | 1.968 | 46.12 | 15 |
| 1 0 16 | 1.368 | 68.62 | 14 |
| 2 1 4 | 1.526 | 60.68 | 13 |

Atomic structure:
a b c (Å): 4.8335 4.8335 23.1524
angles (deg): 90.00 90.00 120.00
Space group R-3m (No. 166, hexagonal axes)
Inequivalent atoms, fractional coordinates:
1 Li 0.0000 0.0000 0.0000 [3 per cell]
2 Er 0.0000 0.0000 0.1286 [6 per cell]
3 Er 0.0000 0.0000 0.3791 [6 per cell]
4 Ru 0.0000 0.0000 0.2526 [6 per cell]


Entry 2:
This entry pairs a crystal structure of LiEr5S8 with its calculated powder diffraction line list. Radiation: CuKα. Structure: a cell relaxed with GGA-PBE.
Lines closer than 0.1° are merged.

Principal peaks in the range 10 to 80 degrees two-theta, in order of falling intensity:
| index | d (Å) | Position (°2θ) | I_rel |
| --- | --- | --- | --- |
| 3 1 1 | 3.386 | 26.32 | 100 |
| 4 4 0 | 1.985 | 45.71 | 63 |
| 5 1 1 | 2.161 | 41.80 | 47 |
| 1 1 1 | 6.483 | 13.66 | 45 |
| 4 0 0 | 2.807 | 31.88 | 42 |
| 2 2 2 | 3.241 | 27.52 | 25 |
| 5 5 3 | 1.462 | 63.65 | 24 |
| 2 0 0 | 5.614 | 15.78 | 15 |
| 5 3 3 | 1.712 | 53.51 | 14 |
| 5 5 5 | 1.297 | 72.96 | 14 |

Atomic structure:
a b c (Å): 11.2288 11.2288 11.2288
angles (deg): 90.00 90.00 90.00
Space group F-43m (No. 216)
Inequivalent atoms, fractional coordinates:
1 Li 0.0000 0.0000 0.0000 [4 per cell]
2 Er 0.1297 0.1297 0.3703 [16 per cell]
3 Er 0.2500 0.2500 0.7500 [4 per cell]
4 S 0.1165 0.1165 0.6165 [16 per cell]
5 S 0.1316 0.1316 0.1316 [16 per cell]


Entry 3:
This entry pairs a crystal structure of LiErSc2S4 with its calculated powder diffraction line list. Radiation: CuKα. Structure: a cell relaxed with GGA-PBE.
Lines closer than 0.1° are merged.

Principal peaks in the range 10 to 80 degrees two-theta, in order of falling intensity:
| index | d (Å) | Position (°2θ) | I_rel |
| --- | --- | --- | --- |
| 1 1 1 | 2.647 | 33.86 | 100 |
| 1 0 0 | 6.087 | 14.55 | 39 |
| 1 1 -3 | 1.881 | 48.38 | 34 |
| 1 0 -1 | 5.287 | 16.77 | 31 |
| 3 1 -1 | 1.862 | 48.93 | 22 |
| 0 1 1 | 3.194 | 27.94 | 18 |
| 2 0 0 | 3.047 | 29.31 | 15 |
| 1 0 1 | 3.762 | 23.65 | 14 |
| 0 1 0 | 3.732 | 23.84 | 13 |
| 2 2 -2 | 1.524 | 60.76 | 11 |

Atomic structure:
a b c (Å): 6.4436 3.7317 6.5361
angles (deg): 90.00 109.14 90.00
Space group P2/m (No. 10)
Inequivalent atoms, fractional coordinates:
1 Li 0.0000 0.0000 0.0000 [1 per cell]
2 Er 0.5000 0.5000 0.0000 [1 per cell]
3 Sc 0.0000 0.5000 0.5000 [1 per cell]
4 Sc 0.5000 0.0000 0.5000 [1 per cell]
5 S 0.2412 0.0000 0.7428 [2 per cell]
6 S 0.2482 0.5000 0.2564 [2 per cell]